# Th6GaTc2
Computed XRD peak list, a wavelength of 1.5418 Å. Input: a DFT-relaxed cell (PBE, Alexandria).
Neutral-atom scattering factors, no anomalous dispersion.

Crystal structure
```
Th6GaTc2
1.0
-4.694 4.732 5.477
4.694 -4.732 5.477
4.694 4.732 -5.477
Th Ga Tc
12 2 4
Direct
0.046 0.241 0.805 Th
0.182 0.293 0.474 Th
0.182 0.707 0.889 Th
0.335 0.030 0.695 Th
0.335 0.640 0.305 Th
0.436 0.241 0.195 Th
0.564 0.759 0.805 Th
0.665 0.360 0.695 Th
0.665 0.970 0.305 Th
0.818 0.293 0.111 Th
0.818 0.707 0.526 Th
0.954 0.759 0.195 Th
0.000 0.000 0.000 Ga
0.500 0.500 0.000 Ga
0.137 0.637 0.500 Tc
0.327 0.000 0.327 Tc
0.673 0.000 0.673 Tc
0.863 0.363 0.500 Tc
```

Principal peaks in the range 10 to 90 degrees two-theta, sorted by position:
- 2θ 31.42, d 2.847, rel. 100
- 2θ 32.47, d 2.757, rel. 70
- 2θ 34.16, d 2.625, rel. 80
- 2θ 35.24, d 2.547, rel. 61
- 2θ 35.37, d 2.538, rel. 50
- 2θ 37.92, d 2.373, rel. 82

---

# KSr2ScBr8
Computed XRD peak list, a wavelength of 1.5418 Å. Input: a DFT-relaxed cell (PBE, Alexandria).
Neutral-atom scattering factors, no anomalous dispersion.

Crystal structure
```
KSr2ScBr8
1.0
6.776 0.000 0.000
0.000 9.320 0.000
-0.022 0.000 7.057
K Sr Sc Br
1 2 1 8
Direct
0.000 0.000 0.000 K
0.500 0.255 0.500 Sr
0.500 0.745 0.500 Sr
0.000 0.500 0.000 Sc
0.220 0.296 0.155 Br
0.220 0.704 0.155 Br
0.245 0.500 0.688 Br
0.262 0.000 0.630 Br
0.738 0.000 0.370 Br
0.755 0.500 0.312 Br
0.780 0.296 0.845 Br
0.780 0.704 0.845 Br
```

Principal peaks in the range 10 to 90 degrees two-theta, sorted by position:
- 2θ 18.15, d 4.888, rel. 45
- 2θ 26.42, d 3.374, rel. 100
- 2θ 28.54, d 3.128, rel. 55
- 2θ 35.14, d 2.554, rel. 61
- 2θ 38.64, d 2.330, rel. 18
- 2θ 43.06, d 2.101, rel. 43

---

# Na6Hg10Sb
Computed XRD peak list, a wavelength of 1.5418 Å. Input: a DFT-relaxed cell (PBE, Alexandria).
Neutral-atom scattering factors, no anomalous dispersion.

Crystal structure
```
Na6Hg10Sb
1.0
9.146 0.000 0.000
-4.573 7.920 0.000
0.000 0.000 6.237
Na Hg Sb
6 10 1
Direct
0.000 0.378 0.218 Na
0.000 0.622 0.782 Na
0.378 0.000 0.218 Na
0.378 0.378 0.782 Na
0.622 0.000 0.782 Na
0.622 0.622 0.218 Na
0.000 0.267 0.688 Hg
0.000 0.733 0.312 Hg
0.267 0.000 0.688 Hg
0.267 0.267 0.312 Hg
0.333 0.667 0.000 Hg
0.333 0.667 0.500 Hg
0.667 0.333 0.000 Hg
0.667 0.333 0.500 Hg
0.733 0.000 0.312 Hg
0.733 0.733 0.688 Hg
0.000 0.000 0.000 Sb
```

Principal peaks in the range 10 to 90 degrees two-theta, sorted by position:
- 2θ 22.45, d 3.960, rel. 25
- 2θ 24.13, d 3.688, rel. 65
- 2θ 33.20, d 2.699, rel. 55
- 2θ 33.96, d 2.640, rel. 70
- 2θ 34.82, d 2.576, rel. 100
- 2θ 49.43, d 1.844, rel. 30

---

# AcSmZn2Au5
Computed XRD peak list, a wavelength of 1.5418 Å. Input: a DFT-relaxed cell (PBE, Alexandria).
Neutral-atom scattering factors, no anomalous dispersion.

Crystal structure
```
AcSmZn2Au5
1.0
4.646 0.000 0.000
0.000 4.646 0.000
0.000 0.000 9.241
Ac Sm Zn Au
1 1 2 5
Direct
0.000 0.000 0.000 Ac
0.000 0.000 0.500 Sm
0.500 0.500 0.369 Zn
0.500 0.500 0.631 Zn
0.000 0.500 0.247 Au
0.000 0.500 0.753 Au
0.500 0.000 0.247 Au
0.500 0.000 0.753 Au
0.500 0.500 0.000 Au
```

Principal peaks in the range 10 to 90 degrees two-theta, sorted by position:
- 2θ 33.47, d 2.677, rel. 100
- 2θ 38.77, d 2.323, rel. 42
- 2θ 55.99, d 1.642, rel. 15
- 2θ 56.15, d 1.638, rel. 19
- 2θ 66.82, d 1.400, rel. 28
- 2θ 67.12, d 1.394, rel. 14

---

# KGeB2Cl8
Computed XRD peak list, a wavelength of 1.5418 Å. Input: a DFT-relaxed cell (PBE, Alexandria).
Neutral-atom scattering factors, no anomalous dispersion.

Crystal structure
```
KGeB2Cl8
1.0
3.085 1.781 9.718
-3.085 1.781 9.718
0.000 -3.562 9.718
K Ge B Cl
1 1 2 8
Direct
0.000 0.000 0.000 K
0.500 0.500 0.500 Ge
0.255 0.255 0.255 B
0.745 0.745 0.745 B
0.038 0.467 0.791 Cl
0.209 0.962 0.533 Cl
0.319 0.319 0.319 Cl
0.467 0.791 0.038 Cl
0.533 0.209 0.962 Cl
0.681 0.681 0.681 Cl
0.791 0.038 0.467 Cl
0.962 0.533 0.209 Cl
```

Principal peaks in the range 10 to 90 degrees two-theta, sorted by position:
- 2θ 20.61, d 4.309, rel. 70
- 2θ 22.57, d 3.939, rel. 19
- 2θ 30.40, d 2.940, rel. 65
- 2θ 34.44, d 2.604, rel. 100
- 2θ 47.65, d 1.909, rel. 34
- 2θ 51.30, d 1.781, rel. 26

---

# MgNpBO5
Computed XRD peak list, a wavelength of 1.5418 Å. Input: a DFT-relaxed cell (PBE, Alexandria).
Neutral-atom scattering factors, no anomalous dispersion.

Crystal structure
```
MgNpBO5
1.0
3.159 -4.206 0.000
3.159 4.206 0.000
-2.266 0.000 6.352
Mg Np B O
2 2 2 10
Direct
0.000 0.000 0.000 Mg
0.000 0.000 0.500 Mg
0.344 0.656 0.750 Np
0.656 0.344 0.250 Np
0.314 0.686 0.250 B
0.686 0.314 0.750 B
0.086 0.663 0.351 O
0.114 0.886 0.750 O
0.280 0.428 0.086 O
0.337 0.914 0.149 O
0.428 0.280 0.586 O
0.572 0.720 0.414 O
0.663 0.086 0.851 O
0.720 0.572 0.914 O
0.886 0.114 0.250 O
0.914 0.337 0.649 O
```

Principal peaks in the range 10 to 90 degrees two-theta, sorted by position:
- 2θ 18.26, d 4.858, rel. 44
- 2θ 19.73, d 4.500, rel. 100
- 2θ 25.40, d 3.507, rel. 65
- 2θ 25.97, d 3.431, rel. 48
- 2θ 30.04, d 2.975, rel. 46
- 2θ 35.39, d 2.536, rel. 57

---

# LaZn2Ni8
Computed XRD peak list, a wavelength of 1.5418 Å. Input: a DFT-relaxed cell (PBE, Alexandria).
Neutral-atom scattering factors, no anomalous dispersion.

Crystal structure
```
LaZn2Ni8
1.0
6.034 0.000 0.000
0.000 6.034 0.000
0.000 0.000 4.730
La Zn Ni
1 2 8
Direct
0.000 0.000 0.000 La
0.000 0.500 0.500 Zn
0.500 0.000 0.500 Zn
0.307 0.307 0.245 Ni
0.307 0.307 0.755 Ni
0.307 0.693 0.245 Ni
0.307 0.693 0.755 Ni
0.693 0.307 0.245 Ni
0.693 0.307 0.755 Ni
0.693 0.693 0.245 Ni
0.693 0.693 0.755 Ni
```

Principal peaks in the range 10 to 90 degrees two-theta, sorted by position:
- 2θ 28.17, d 3.168, rel. 83
- 2θ 33.20, d 2.699, rel. 52
- 2θ 40.99, d 2.202, rel. 39
- 2θ 42.37, d 2.133, rel. 57
- 2θ 45.07, d 2.011, rel. 51
- 2θ 48.93, d 1.861, rel. 100

---

# RbGa2B
Computed XRD peak list, a wavelength of 1.5418 Å. Input: a DFT-relaxed cell (PBE, Alexandria).
Neutral-atom scattering factors, no anomalous dispersion.

Crystal structure
```
RbGa2B
1.0
-3.363 3.363 4.694
3.363 -3.363 4.694
3.363 3.363 -4.694
Rb Ga B
2 4 2
Direct
0.375 0.625 0.750 Rb
0.625 0.375 0.250 Rb
0.000 0.000 0.000 Ga
0.000 0.000 0.500 Ga
0.000 0.500 0.000 Ga
0.500 0.000 0.500 Ga
0.125 0.875 0.250 B
0.875 0.125 0.750 B
```

Principal peaks in the range 10 to 90 degrees two-theta, sorted by position:
- 2θ 26.68, d 3.341, rel. 42
- 2θ 31.23, d 2.864, rel. 100
- 2θ 31.53, d 2.837, rel. 49
- 2θ 32.76, d 2.734, rel. 57
- 2θ 49.84, d 1.830, rel. 27
- 2θ 54.97, d 1.670, rel. 34

---

# PuB2F8
Computed XRD peak list, a wavelength of 1.5418 Å. Input: a DFT-relaxed cell (PBE, Alexandria).
Neutral-atom scattering factors, no anomalous dispersion.

Crystal structure
```
PuB2F8
1.0
4.907 -2.541 0.000
4.907 2.541 0.000
-2.554 0.000 5.700
Pu B F
1 2 8
Direct
0.000 0.000 0.000 Pu
0.205 0.205 0.694 B
0.795 0.795 0.306 B
0.076 0.627 0.236 F
0.162 0.162 0.449 F
0.364 0.364 0.811 F
0.373 0.924 0.764 F
0.627 0.076 0.236 F
0.636 0.636 0.189 F
0.838 0.838 0.551 F
0.924 0.373 0.764 F
```

Principal peaks in the range 10 to 90 degrees two-theta, sorted by position:
- 2θ 15.55, d 5.700, rel. 66
- 2θ 19.57, d 4.536, rel. 41
- 2θ 20.09, d 4.420, rel. 100
- 2θ 27.93, d 3.195, rel. 47
- 2θ 32.74, d 2.736, rel. 39
- 2θ 40.70, d 2.217, rel. 38

---

# TbPr7Ho3
Computed XRD peak list, a wavelength of 1.5418 Å. Input: a DFT-relaxed cell (PBE, Alexandria).
Neutral-atom scattering factors, no anomalous dispersion.

Crystal structure
```
TbPr7Ho3
1.0
9.730 -3.616 0.000
9.730 3.616 0.000
-5.687 0.000 11.362
Tb Pr Ho
2 14 6
Direct
0.000 0.000 0.000 Tb
0.000 0.000 0.500 Tb
0.080 0.585 0.472 Pr
0.082 0.587 0.976 Pr
0.213 0.787 0.750 Pr
0.336 0.347 0.227 Pr
0.347 0.336 0.727 Pr
0.413 0.918 0.524 Pr
0.415 0.920 0.028 Pr
0.585 0.080 0.972 Pr
0.587 0.082 0.476 Pr
0.653 0.664 0.273 Pr
0.664 0.653 0.773 Pr
0.787 0.213 0.250 Pr
0.918 0.413 0.024 Pr
0.920 0.415 0.528 Pr
0.167 0.174 0.274 Ho
0.174 0.167 0.774 Ho
0.500 0.500 0.000 Ho
0.500 0.500 0.500 Ho
0.826 0.833 0.226 Ho
0.833 0.826 0.726 Ho
```

Principal peaks in the range 10 to 90 degrees two-theta, sorted by position:
- 2θ 28.59, d 3.123, rel. 22
- 2θ 30.83, d 2.900, rel. 50
- 2θ 31.51, d 2.840, rel. 100
- 2θ 32.80, d 2.730, rel. 31
- 2θ 33.38, d 2.684, rel. 53
- 2θ 49.91, d 1.827, rel. 26

---

# K3Tl2F8
Computed XRD peak list, a wavelength of 1.5418 Å. Input: a DFT-relaxed cell (PBE, Alexandria).
Neutral-atom scattering factors, no anomalous dispersion.

Crystal structure
```
K3Tl2F8
1.0
3.427 1.979 6.802
-3.427 1.979 6.802
0.000 -3.957 6.802
K Tl F
3 2 8
Direct
0.000 0.000 0.000 K
0.197 0.197 0.197 K
0.803 0.803 0.803 K
0.424 0.424 0.424 Tl
0.576 0.576 0.576 Tl
0.200 0.746 0.746 F
0.254 0.254 0.800 F
0.254 0.800 0.254 F
0.320 0.320 0.320 F
0.680 0.680 0.680 F
0.746 0.200 0.746 F
0.746 0.746 0.200 F
0.800 0.254 0.254 F
```

Principal peaks in the range 10 to 90 degrees two-theta, sorted by position:
- 2θ 15.55, d 5.699, rel. 98
- 2θ 17.28, d 5.131, rel. 43
- 2θ 26.00, d 3.427, rel. 100
- 2θ 26.51, d 3.363, rel. 41
- 2θ 34.27, d 2.617, rel. 27
- 2θ 37.47, d 2.400, rel. 27

---

# Pa2GaCu
Computed XRD peak list, a wavelength of 1.5418 Å. Input: a DFT-relaxed cell (PBE, Alexandria).
Neutral-atom scattering factors, no anomalous dispersion.

Crystal structure
```
Pa2GaCu
1.0
-3.039 4.307 3.087
3.039 -4.307 3.087
3.039 4.307 -3.087
Pa Ga Cu
4 2 2
Direct
0.265 0.000 0.765 Pa
0.265 0.500 0.265 Pa
0.735 0.000 0.235 Pa
0.735 0.500 0.735 Pa
0.220 0.470 0.750 Ga
0.780 0.530 0.250 Ga
0.219 0.969 0.250 Cu
0.781 0.031 0.750 Cu
```

Principal peaks in the range 10 to 90 degrees two-theta, sorted by position:
- 2θ 20.62, d 4.307, rel. 52
- 2θ 35.78, d 2.509, rel. 99
- 2θ 36.17, d 2.483, rel. 100
- 2θ 41.70, d 2.166, rel. 67
- 2θ 41.95, d 2.154, rel. 31
- 2θ 60.64, d 1.527, rel. 40

---

# CdSi2
Computed XRD peak list, a wavelength of 1.5418 Å. Input: a DFT-relaxed cell (PBE, Alexandria).
Neutral-atom scattering factors, no anomalous dispersion.

Crystal structure
```
CdSi2
1.0
3.486 0.000 0.000
0.000 3.486 0.000
0.000 0.000 4.863
Cd Si
1 2
Direct
0.000 0.000 0.000 Cd
0.000 0.500 0.500 Si
0.500 0.000 0.500 Si
```

Principal peaks in the range 10 to 90 degrees two-theta, sorted by position:
- 2θ 25.55, d 3.486, rel. 81
- 2θ 31.58, d 2.833, rel. 93
- 2θ 36.97, d 2.431, rel. 34
- 2θ 41.05, d 2.199, rel. 100
- 2θ 45.48, d 1.994, rel. 33
- 2θ 62.57, d 1.485, rel. 24